# 1
Calculated XRD peak list of KZr4I7 for CuKα, from a cell relaxed with PBE.
Neutral-atom scattering factors, no anomalous dispersion.

Cell and atoms:
a = 5.6325 Å, b = 6.1036 Å, c = 22.4043 Å
α = 86.50°, β = 89.97°, γ = 89.97°
Space group P1 (No. 1)
One atom of each set of equivalent atoms:
K (0.0000, 0.0000, 0.0000) x1
K (0.4972, 0.5049, 0.4998) x1
Zr (0.0024, 0.5930, 0.7534) x1
Zr (0.0022, 0.9478, 0.6502) x1
Zr (0.0035, 0.0616, 0.3494) x1
Zr (0.0037, 0.4165, 0.2462) x1
Zr (0.5035, 0.0928, 0.2534) x1
Zr (0.5038, 0.4477, 0.1502) x1
Zr (0.5043, 0.9168, 0.7463) x1
Zr (0.5048, 0.5620, 0.8495) x1
I (0.0023, 0.4778, 0.6190) x1
I (0.0033, 0.0045, 0.4998) x1
I (0.0028, 0.5316, 0.3806) x1
I (0.0035, 0.9289, 0.2276) x1
I (0.0036, 0.0805, 0.7720) x1
I (0.0039, 0.4628, 0.1132) x1
I (0.0047, 0.5458, 0.8864) x1
I (0.5024, 0.9635, 0.6133) x1
I (0.5035, 0.0460, 0.3863) x1
I (0.5029, 0.4292, 0.7277) x1
I (0.5034, 0.5803, 0.2720) x1
I (0.5034, 0.9779, 0.1190) x1
I (0.5035, 0.0320, 0.8806) x1
I (0.5046, 0.5064, 0.9998) x1

Peak list (6 most intense, 2θ = 10–80°, by angle)
- 27.35°, I = 747, (1 1 -4)
- 29.32°, I = 728, (0 2 0)
- 31.64°, I = 447, (1 1 6)
- 31.77°, I = 1000, (2 0 0)
- 32.02°, I = 546, (0 0 8)
- 43.78°, I = 476, (2 -2 0)

# 2
Calculated XRD peak list of LaI for CuKα, from a cell relaxed with PBE.
Neutral-atom scattering factors, no anomalous dispersion.

Cell and atoms:
a = 3.9638 Å, b = 3.9638 Å, c = 3.9638 Å
α = 90.00°, β = 90.00°, γ = 90.00°
Space group Pm-3m (No. 221)
One atom of each set of equivalent atoms:
La (0.0000, 0.0000, 0.0000) x1
I (0.5000, 0.5000, 0.5000) x1

Peak list (5 most intense, 2θ = 10–80°, by angle)
- 31.93°, I = 1000, (1 1 0)
- 45.78°, I = 182, (2 0 0)
- 56.90°, I = 380, (2 1 1)
- 66.75°, I = 117, (2 2 0)
- 75.91°, I = 162, (3 1 0)

# 3
Calculated XRD peak list of LaI for CuKα, from a cell relaxed with PBE.
Neutral-atom scattering factors, no anomalous dispersion.

Cell and atoms:
a = 4.9940 Å, b = 19.4141 Å, c = 4.1564 Å
α = 90.00°, β = 90.00°, γ = 90.00°
Space group Pmmn (No. 59, origin choice 2)
One atom of each set of equivalent atoms:
La (0.2500, 0.0833, 0.2468) x4
La (0.2500, 0.7500, 0.2541) x2
I (0.2500, 0.2500, 0.2459) x2
I (0.2500, 0.5833, 0.2530) x4

Peak list (6 most intense, 2θ = 10–80°, by angle)
- 27.57°, I = 517, (0 6 0)
- 27.93°, I = 1000, (1 0 1)
- 35.97°, I = 255, (2 0 0)
- 39.65°, I = 777, (1 6 1)
- 45.91°, I = 255, (2 6 0)
- 64.57°, I = 182, (1 12 1)